Record 1
For Y6IrRh3, a crystal structure in Alexandria, relaxed with GGA-PBE gives the calculated powder XRD pattern in this record (a wavelength of 1.5418 Å).

Principal peaks in the range 10° ≤ 2θ ≤ 90°, sorted by position:
2theta, Rel. int., index
14.74, 11, 0 2 0
21.51, 14, 2 0 0
31.09, 28, 1 3 1
36.99, 76, 1 4 1
37.72, 100, 0 0 2
43.55, 12, 2 5 0
53.86, 25, 4 4 0
66.16, 12, 2 8 0
67.62, 25, 4 4 2
68.10, 17, 3 0 3

Cell and atoms:
abc: 8.2557 12.0236 4.7725
angles: 90.00 90.00 90.00
Space group Pnnm (No. 58)
Unique sites:
Y: 0.0012 0.2458 0.0000 (multiplicity 4)
Y: 0.1614 0.4119 0.5000 (multiplicity 4)
Y: 0.1712 0.0804 0.5000 (multiplicity 4)
Ir: 0.0000 0.5000 0.0000 (multiplicity 2)
Rh: 0.0000 0.0000 0.0000 (multiplicity 2)
Rh: 0.1651 0.8367 0.5000 (multiplicity 4)

=====

Record 2
For Y3IrRh2, a crystal structure in Alexandria, relaxed with GGA-PBE gives the calculated powder XRD pattern in this record (a wavelength of 1.5418 Å).

Principal peaks in the range 10° ≤ 2θ ≤ 90°, sorted by position:
2theta, Rel. int., index
22.40, 4, 1 0 1
25.93, 5, 0 1 2
36.99, 100, 1 1 0
43.68, 2, 0 1 5
53.31, 17, 0 2 4
60.21, 2, 1 2 2
66.63, 26, 3 0 0
66.76, 9, 0 1 8
78.69, 5, 2 2 0
78.84, 5, 2 0 8

Cell and atoms:
abc: 4.8639 4.8639 11.8865
angles: 90.00 90.00 120.00
Space group P-3m1 (No. 164)
Unique sites:
Y: 0.0000 0.0000 0.2490 (multiplicity 2)
Y: 0.3333 0.6667 0.4156 (multiplicity 2)
Y: 0.3333 0.6667 0.9168 (multiplicity 2)
Ir: 0.3333 0.6667 0.1664 (multiplicity 2)
Rh: 0.0000 0.0000 0.0000 (multiplicity 1)
Rh: 0.0000 0.0000 0.5000 (multiplicity 1)
Rh: 0.3333 0.6667 0.6650 (multiplicity 2)

=====

Record 3
For ZnIr2Rh6, a crystal structure in Alexandria, relaxed with GGA-PBE gives the calculated powder XRD pattern in this record (a wavelength of 1.5418 Å).

Principal peaks in the range 10° ≤ 2θ ≤ 90°, sorted by position:
2theta, Rel. int., index
17.85, 36, 0 1 1
28.93, 27, 1 1 0
40.32, 100, 1 0 5
42.00, 85, 1 2 1
42.85, 26, 0 2 4
48.05, 31, 2 0 0
52.45, 30, 0 2 6
73.86, 21, 2 2 6
84.77, 22, 1 4 5
89.97, 16, 1 2 11

Cell and atoms:
abc: 3.7874 5.3224 13.8601
angles: 90.00 90.00 90.00
Space group Imm2 (No. 44)
Unique sites:
Zn: 0.0000 0.0000 0.0000 (multiplicity 2)
Ir: 0.0000 0.5000 0.8050 (multiplicity 2)
Ir: 0.0000 0.5000 0.9980 (multiplicity 2)
Rh: 0.0000 0.2566 0.4014 (multiplicity 4)
Rh: 0.0000 0.2580 0.5977 (multiplicity 4)
Rh: 0.0000 0.2708 0.2156 (multiplicity 4)

=====

Record 4
For ZnIr2Rh6, a crystal structure in Alexandria, relaxed with GGA-PBE gives the calculated powder XRD pattern in this record (a wavelength of 1.5418 Å).

Principal peaks in the range 10° ≤ 2θ ≤ 90°, sorted by position:
2theta, Rel. int., index
40.64, 100, 1 1 -3
47.07, 16, 2 0 3
47.24, 16, 0 2 0
47.52, 16, 4 0 -3
68.89, 10, 2 2 3
69.25, 10, 4 2 -3
83.04, 12, 1 1 6
83.30, 12, 1 3 -3
83.71, 12, 5 1 -6
87.97, 11, 2 2 -6

Cell and atoms:
abc: 8.5725 3.8483 8.1545
angles: 90.00 107.97 90.00
Space group C2/m (No. 12)
Unique sites:
Zn: 0.0000 0.0000 0.0000 (multiplicity 2)
Ir: 0.1730 0.5000 0.2265 (multiplicity 4)
Rh: 0.0018 0.0000 0.3306 (multiplicity 4)
Rh: 0.1653 0.5000 0.8918 (multiplicity 4)
Rh: 0.1664 0.5000 0.5559 (multiplicity 4)

=====

Record 5
For ZnIr2Rh4, a crystal structure in Alexandria, relaxed with GGA-PBE gives the calculated powder XRD pattern in this record (a wavelength of 1.5418 Å).

Principal peaks in the range 10° ≤ 2θ ≤ 90°, sorted by position:
2theta, Rel. int., index
22.36, 22, 0 0 1
28.29, 14, 1 1 1
32.85, 21, 0 2 1
39.54, 26, 3 1 0
41.60, 100, 2 2 1
44.68, 22, 1 3 1
45.63, 28, 0 0 2
45.90, 17, 3 1 1
48.62, 17, 0 4 0
81.59, 14, 2 2 3

Cell and atoms:
abc: 7.1769 7.4910 3.9762
angles: 90.00 90.00 90.00
Space group Cmmm (No. 65)
Unique sites:
Zn: 0.0000 0.0000 0.0000 (multiplicity 2)
Ir: 0.1853 0.5000 0.5000 (multiplicity 4)
Rh: 0.0000 0.2063 0.5000 (multiplicity 4)
Rh: 0.2500 0.2500 0.0000 (multiplicity 4)

=====

Record 6
For ZnIr2Rh9, a crystal structure in Alexandria, relaxed with GGA-PBE gives the calculated powder XRD pattern in this record (a wavelength of 1.5418 Å).

Principal peaks in the range 10° ≤ 2θ ≤ 90°, sorted by position:
2theta, Rel. int., index
15.38, 2, 0 0 2
23.13, 3, 1 0 0
27.89, 2, 1 0 2
32.94, 2, 1 1 0
40.64, 100, 1 1 3
47.28, 48, 2 0 0
69.09, 30, 2 2 0
83.33, 24, 3 1 3
83.43, 12, 1 1 9
87.98, 11, 2 2 6

Cell and atoms:
abc: 3.8469 3.8469 11.5246
angles: 90.00 90.00 90.00
Space group P4/mmm (No. 123)
Unique sites:
Zn: 0.0000 0.0000 0.0000 (multiplicity 1)
Ir: 0.0000 0.0000 0.3303 (multiplicity 2)
Rh: 0.0000 0.5000 0.1683 (multiplicity 4)
Rh: 0.0000 0.5000 0.5000 (multiplicity 2)
Rh: 0.5000 0.5000 0.0000 (multiplicity 1)
Rh: 0.5000 0.5000 0.3352 (multiplicity 2)

=====

Record 7
For Zr2IrRh6, a crystal structure in Alexandria, relaxed with GGA-PBE gives the calculated powder XRD pattern in this record (a wavelength of 1.5418 Å).

Principal peaks in the range 10° ≤ 2θ ≤ 90°, sorted by position:
2theta, Rel. int., index
13.78, 28, 1 1 0
33.74, 79, 1 1 1
35.64, 19, 2 4 0
38.41, 61, 0 6 0
41.82, 89, 2 2 1
42.18, 100, 3 3 0
46.59, 41, 1 5 1
47.70, 51, 2 4 1
73.43, 21, 5 1 1
79.50, 30, 3 3 2

Cell and atoms:
abc: 7.2259 14.0604 2.9172
angles: 90.00 90.00 90.00
Space group Cmmm (No. 65)
Unique sites:
Zr: 0.0000 0.1941 0.0000 (multiplicity 4)
Ir: 0.0000 0.5000 0.5000 (multiplicity 2)
Rh: 0.1859 0.0000 0.0000 (multiplicity 4)
Rh: 0.1944 0.3457 0.5000 (multiplicity 8)

=====

Record 8
For Zr6IrRh5, a crystal structure in Alexandria, relaxed with GGA-PBE gives the calculated powder XRD pattern in this record (a wavelength of 1.5418 Å).

Principal peaks in the range 10° ≤ 2θ ≤ 90°, sorted by position:
2theta, Rel. int., index
38.38, 20, 0 0 6
38.57, 100, 2 0 0
55.52, 13, 2 0 6
55.89, 7, 0 4 0
69.53, 13, 1 2 9
69.78, 20, 3 2 3
69.94, 7, 2 4 0
82.19, 2, 0 0 12
82.61, 2, 4 0 0
82.71, 8, 2 4 6

Cell and atoms:
abc: 4.6718 6.5802 14.0738
angles: 90.00 90.00 90.00
Space group Immm (No. 71)
Unique sites:
Zr: 0.0000 0.2474 0.0000 (multiplicity 4)
Zr: 0.0000 0.2515 0.3344 (multiplicity 8)
Ir: 0.0000 0.5000 0.5000 (multiplicity 2)
Rh: 0.0000 0.0000 0.1741 (multiplicity 4)
Rh: 0.0000 0.0000 0.5000 (multiplicity 2)
Rh: 0.0000 0.5000 0.1650 (multiplicity 4)

=====

Record 9
For IrRu4, a crystal structure in Alexandria, relaxed with GGA-PBE gives the calculated powder XRD pattern in this record (a wavelength of 1.5418 Å).

Principal peaks in the range 10° ≤ 2θ ≤ 90°, sorted by position:
2theta, Rel. int., index
20.74, 5, 1 1 0
27.57, 6, 1 0 1
29.49, 3, 2 0 0
40.81, 100, 2 1 1
47.48, 48, 1 3 0
60.15, 1, 2 3 1
68.40, 1, 4 1 1
69.41, 31, 4 2 0
83.77, 37, 5 0 1
88.42, 11, 4 2 2

Cell and atoms:
abc: 6.0573 6.0573 3.8273
angles: 90.00 90.00 90.00
Space group I4/m (No. 87)
Unique sites:
Ir: 0.0000 0.0000 0.0000 (multiplicity 2)
Ru: 0.0986 0.3018 0.5000 (multiplicity 8)

=====

Record 10
For Ir2Ru, a crystal structure in Alexandria, relaxed with GGA-PBE gives the calculated powder XRD pattern in this record (a wavelength of 1.5418 Å).

Principal peaks in the range 10° ≤ 2θ ≤ 90°, sorted by position:
2theta, Rel. int., index
15.30, 6, 0 0 2
33.82, 6, 1 0 1
40.54, 100, 1 0 3
47.08, 16, 0 0 6
47.21, 33, 1 1 0
68.88, 21, 1 1 6
68.99, 11, 2 0 0
82.99, 13, 1 0 9
83.20, 26, 2 1 3
87.73, 11, 2 0 6

Cell and atoms:
abc: 2.7225 2.7225 11.5826
angles: 90.00 90.00 90.00
Space group I4/mmm (No. 139)
Unique sites:
Ir: 0.0000 0.0000 0.1639 (multiplicity 4)
Ru: 0.0000 0.0000 0.5000 (multiplicity 2)

=====

Record 11
For Ir3Ru, a crystal structure in Alexandria, relaxed with GGA-PBE gives the calculated powder XRD pattern in this record (a wavelength of 1.5418 Å).

Principal peaks in the range 10° ≤ 2θ ≤ 90°, sorted by position:
2theta, Rel. int., index
19.07, 2, 0 0 1
19.94, 2, 2 0 0
40.50, 100, 4 0 0
47.11, 49, 2 0 2
68.81, 26, 5 1 1
68.90, 5, 6 0 -2
82.99, 26, 6 0 2
83.07, 13, 7 1 -1
87.59, 9, 8 0 0
87.66, 3, 4 0 -4

Cell and atoms:
abc: 9.0428 2.7292 4.7251
angles: 90.00 99.95 90.00
Space group C2/m (No. 12)
Unique sites:
Ir: 0.0000 0.0000 0.0000 (multiplicity 2)
Ir: 0.2493 0.0000 0.7479 (multiplicity 4)
Ru: 0.0000 0.5000 0.5000 (multiplicity 2)

=====

Record 12
For Ir2Ru, a crystal structure in Alexandria, relaxed with GGA-PBE gives the calculated powder XRD pattern in this record (a wavelength of 1.5418 Å).

Principal peaks in the range 10° ≤ 2θ ≤ 90°, sorted by position:
2theta, Rel. int., index
40.45, 100, 0 1 3
40.65, 99, 2 1 0
47.17, 97, 2 0 3
68.94, 42, 2 2 3
69.16, 11, 4 0 0
82.90, 25, 2 1 6
83.15, 13, 0 3 3
83.29, 38, 2 3 0
87.47, 11, 0 2 6
88.01, 11, 4 2 0

Cell and atoms:
abc: 5.4328 3.8493 8.2089
angles: 90.00 90.00 90.00
Space group Pnma (No. 62)
Unique sites:
Ir: 0.1251 0.2500 0.2470 (multiplicity 4)
Ir: 0.1261 0.2500 0.5836 (multiplicity 4)
Ru: 0.1233 0.2500 0.9193 (multiplicity 4)

=====

Record 13
For IrRu, a crystal structure in Alexandria, relaxed with GGA-PBE gives the calculated powder XRD pattern in this record (a wavelength of 1.5418 Å).

Principal peaks in the range 10° ≤ 2θ ≤ 90°, sorted by position:
2theta, Rel. int., index
18.65, 11, 0 0 1
37.81, 24, 1 0 1
38.77, 5, 1 1 0
41.56, 25, 0 2 0
43.35, 100, 0 1 2
57.43, 15, 1 2 1
68.27, 17, 2 0 0
77.07, 18, 0 3 2
83.19, 20, 2 2 0
84.41, 15, 2 1 2

Cell and atoms:
abc: 2.7479 4.3463 4.7585
angles: 90.00 90.00 90.00
Space group Pmmn (No. 59, origin choice 2)
Unique sites:
Ir: 0.2500 0.2500 0.0855 (multiplicity 2)
Ru: 0.2500 0.7500 0.4179 (multiplicity 2)

=====

Record 14
For Ir8Ru, a crystal structure in Alexandria, relaxed with GGA-PBE gives the calculated powder XRD pattern in this record (a wavelength of 1.5418 Å).

Principal peaks in the range 10° ≤ 2θ ≤ 90°, sorted by position:
2theta, Rel. int., index
15.28, 1, 1 1 0
21.68, 1, 2 0 0
25.47, 1, 1 0 1
33.68, 1, 2 1 1
40.41, 100, 3 0 1
47.01, 49, 3 3 0
68.68, 32, 6 0 0
82.82, 39, 3 0 3
87.39, 12, 6 0 2

Cell and atoms:
abc: 8.1985 8.1985 3.8674
angles: 90.00 90.00 90.00
Space group I4/mmm (No. 139)
Unique sites:
Ir: 0.0000 0.3320 0.0000 (multiplicity 8)
Ir: 0.1651 0.1651 0.5000 (multiplicity 8)
Ru: 0.0000 0.0000 0.0000 (multiplicity 2)